Calculated powder XRD pattern of Cr2CoSe3S for Cu Kα, 1.54184 Å, from DFT lattice parameters and positions (PBE).
Lines closer than 0.1° are merged.

Crystal structure
```
data_Cr2CoSe3S
_cell_length_a 12.565
_cell_length_b 3.635
_cell_length_c 6.258
_cell_angle_alpha 90.00
_cell_angle_beta 119.64
_cell_angle_gamma 90.00
_space_group_name_H-M_alt 'C 1 m 1'
_space_group_IT_number 8
loop_
_space_group_symop_operation_xyz
'x,y,z'
'x,-y,z'
'x+1/2,y+1/2,z'
'x+1/2,-y+1/2,z'
loop_
_atom_site_label
_atom_site_type_symbol
_atom_site_fract_x
_atom_site_fract_y
_atom_site_fract_z
Cr1 Cr 0.000 0.000 0.000
Cr2 Cr 0.024 0.500 0.578
Co1 Co 0.269 0.000 0.308
Se1 Se 0.136 0.500 0.325
Se2 Se 0.153 0.000 0.855
Se3 Se 0.392 0.500 0.264
S1 S 0.388 0.000 0.735
```

Peak list (10 most intense, 2θ from 15° to 90°, by angle)
2θ 16.3, rel. 34, hkl 0 0 1
2θ 32.8, rel. 100, hkl 1 1 1
2θ 32.9, rel. 66, hkl 0 0 2
2θ 33.1, rel. 48, hkl 4 0 -2
2θ 34.9, rel. 23, hkl 3 1 0
2θ 43.9, rel. 65, hkl 2 0 2
2θ 44.0, rel. 56, hkl 5 1 -1
2θ 44.1, rel. 21, hkl 6 0 -2
2θ 50.2, rel. 35, hkl 0 2 0
2θ 50.4, rel. 62, hkl 3 1 -3

Calculated powder XRD pattern of TaCrCo for Cu Kα, 1.54184 Å, from DFT lattice parameters and positions (PBE).
Lines closer than 0.1° are merged.

Crystal structure
```
data_TaCrCo
_cell_length_a 8.002
_cell_length_b 4.817
_cell_length_c 8.205
_cell_angle_alpha 90.00
_cell_angle_beta 90.00
_cell_angle_gamma 90.00
_space_group_name_H-M_alt 'A m m 2'
_space_group_IT_number 38
loop_
_space_group_symop_operation_xyz
'x,y,z'
'-x,-y,z'
'-x,y,z'
'x,-y,z'
'x,y+1/2,z+1/2'
'-x,-y+1/2,z+1/2'
'-x,y+1/2,z+1/2'
'x,-y+1/2,z+1/2'
loop_
_atom_site_label
_atom_site_type_symbol
_atom_site_fract_x
_atom_site_fract_y
_atom_site_fract_z
Ta1 Ta 0.184 0.000 0.000
Ta2 Ta 0.311 0.000 0.666
Cr1 Cr 0.000 0.000 0.501
Cr2 Cr 0.500 0.000 0.159
Cr3 Cr 0.500 0.243 0.917
Co1 Co 0.000 0.247 0.742
Co2 Co 0.244 0.000 0.330
```

Peak list (10 most intense, 2θ from 15° to 90°, by angle)
2θ 37.3, rel. 35, hkl 0 2 0
2θ 37.8, rel. 70, hkl 0 1 3
2θ 40.2, rel. 100, hkl 3 1 1
2θ 40.3, rel. 52, hkl 3 0 2
2θ 43.9, rel. 48, hkl 2 2 0
2θ 44.3, rel. 88, hkl 2 1 3
2θ 45.1, rel. 45, hkl 1 2 2
2θ 45.7, rel. 21, hkl 1 0 4
2θ 72.2, rel. 20, hkl 2 3 3
2θ 74.9, rel. 27, hkl 5 2 2

Calculated powder XRD pattern of CrCoTe for Cu Kα, 1.54184 Å, from DFT lattice parameters and positions (PBE).
Lines closer than 0.1° are merged.

Crystal structure
```
data_CrCoTe
_cell_length_a 5.882
_cell_length_b 5.882
_cell_length_c 5.882
_cell_angle_alpha 90.00
_cell_angle_beta 90.00
_cell_angle_gamma 90.00
_space_group_name_H-M_alt 'F -4 3 m'
_space_group_IT_number 216
_space_group_name_Hall 'F -4 2 3'
loop_
_atom_site_label
_atom_site_type_symbol
_atom_site_fract_x
_atom_site_fract_y
_atom_site_fract_z
Cr1 Cr 0.000 0.000 0.000
Co1 Co 0.250 0.250 0.250
Te1 Te 0.000 0.000 0.500
```

Peak list (10 most intense, 2θ from 15° to 90°, by angle)
2θ 26.2, rel. 40, hkl 1 1 1
2θ 30.4, rel. 32, hkl 2 0 0
2θ 43.5, rel. 100, hkl 2 2 0
2θ 51.5, rel. 19, hkl 3 1 1
2θ 54.0, rel. 8, hkl 2 2 2
2θ 63.2, rel. 16, hkl 4 0 0
2θ 69.7, rel. 8, hkl 3 3 1
2θ 71.8, rel. 10, hkl 4 2 0
2θ 79.9, rel. 31, hkl 4 2 2
2θ 85.8, rel. 6, hkl 5 1 1